Record 1
Pr2Al9Ir6: computed powder diffraction line list (Cu Kα (weighted mean of Kα1 and Kα2)), based on a GGA-PBE-relaxed structure.
Neutral-atom scattering factors, no anomalous dispersion.

```
data_Pr2Al9Ir6
_chemical_formula_sum 'Pr2 Al9 Ir6'
_cell_length_a 6.974
_cell_length_b 6.974
_cell_length_c 8.576
_cell_angle_alpha 90.00
_cell_angle_beta 90.00
_cell_angle_gamma 120.00
_symmetry_space_group_name_H-M 'P 1'
_symmetry_Int_Tables_number 1
loop_
_symmetry_equiv_pos_as_xyz
'x,y,z'
loop_
_atom_site_label
_atom_site_type_symbol
_atom_site_fract_x
_atom_site_fract_y
_atom_site_fract_z
Pr1 Pr 0.000 0.000 0.224
Pr2 Pr 0.000 0.000 0.776
Al1 Al 0.000 0.500 0.000
Al2 Al 0.000 0.500 0.334
Al3 Al 0.000 0.500 0.666
Al4 Al 0.500 0.000 0.000
Al5 Al 0.500 0.000 0.334
Al6 Al 0.500 0.000 0.666
Al7 Al 0.500 0.500 0.000
Al8 Al 0.500 0.500 0.334
Al9 Al 0.500 0.500 0.666
Ir1 Ir 0.333 0.667 0.168
Ir2 Ir 0.333 0.667 0.500
Ir3 Ir 0.333 0.667 0.832
Ir4 Ir 0.667 0.333 0.168
Ir5 Ir 0.667 0.333 0.500
Ir6 Ir 0.667 0.333 0.832
```

Peak list (12 most intense, 2θ from 15° to 90°, in order of rising 2θ)
2θ 25.54, I 100.0
2θ 31.29, I 10.8
2θ 34.72, I 5.9
2θ 40.82, I 55.5
2θ 43.60, I 11.5
2θ 45.02, I 23.9
2θ 52.48, I 20.3
2θ 55.86, I 22.4
2θ 62.39, I 9.4
2θ 71.59, I 10.6
2θ 79.04, I 5.8
2θ 80.20, I 15.8


Record 2
Pr2AlIr3: computed powder diffraction line list (Cu Kα (weighted mean of Kα1 and Kα2)), based on a GGA-PBE-relaxed structure.
Neutral-atom scattering factors, no anomalous dispersion.

```
data_Pr2AlIr3
_chemical_formula_sum 'Pr4 Al2 Ir6'
_cell_length_a 5.679
_cell_length_b 5.679
_cell_length_c 8.235
_cell_angle_alpha 90.00
_cell_angle_beta 90.00
_cell_angle_gamma 120.00
_symmetry_space_group_name_H-M 'P 1'
_symmetry_Int_Tables_number 1
loop_
_symmetry_equiv_pos_as_xyz
'x,y,z'
loop_
_atom_site_label
_atom_site_type_symbol
_atom_site_fract_x
_atom_site_fract_y
_atom_site_fract_z
Pr1 Pr 0.333 0.667 0.064
Pr2 Pr 0.333 0.667 0.436
Pr3 Pr 0.667 0.333 0.564
Pr4 Pr 0.667 0.333 0.936
Al1 Al 0.000 0.000 0.000
Al2 Al 0.000 0.000 0.500
Ir1 Ir 0.168 0.336 0.750
Ir2 Ir 0.168 0.832 0.750
Ir3 Ir 0.336 0.168 0.250
Ir4 Ir 0.664 0.832 0.750
Ir5 Ir 0.832 0.168 0.250
Ir6 Ir 0.832 0.664 0.250
```

Peak list (12 most intense, 2θ from 15° to 90°, in order of rising 2θ)
2θ 21.58, I 23.7
2θ 28.27, I 16.5
2θ 36.54, I 26.0
2θ 37.52, I 47.8
2θ 38.20, I 100.0
2θ 38.52, I 48.4
2θ 60.12, I 23.2
2θ 60.82, I 12.8
2θ 65.78, I 22.9
2θ 68.58, I 26.9
2θ 78.27, I 11.3
2θ 78.69, I 12.5


Record 3
PrAl2Ir2: computed powder diffraction line list (Cu Kα (weighted mean of Kα1 and Kα2)), based on a GGA-PBE-relaxed structure.
Neutral-atom scattering factors, no anomalous dispersion.

```
data_PrAl2Ir2
_chemical_formula_sum 'Pr2 Al4 Ir4'
_cell_length_a 4.293
_cell_length_b 4.293
_cell_length_c 10.248
_cell_angle_alpha 90.00
_cell_angle_beta 90.00
_cell_angle_gamma 90.00
_symmetry_space_group_name_H-M 'P 1'
_symmetry_Int_Tables_number 1
loop_
_symmetry_equiv_pos_as_xyz
'x,y,z'
loop_
_atom_site_label
_atom_site_type_symbol
_atom_site_fract_x
_atom_site_fract_y
_atom_site_fract_z
Pr1 Pr 0.250 0.250 0.240
Pr2 Pr 0.750 0.750 0.760
Al1 Al 0.250 0.250 0.879
Al2 Al 0.250 0.750 0.500
Al3 Al 0.750 0.250 0.500
Al4 Al 0.750 0.750 0.121
Ir1 Ir 0.250 0.250 0.632
Ir2 Ir 0.250 0.750 0.000
Ir3 Ir 0.750 0.250 0.000
Ir4 Ir 0.750 0.750 0.368
```

Peak list (12 most intense, 2θ from 15° to 90°, in order of rising 2θ)
2θ 26.08, I 25.7
2θ 27.10, I 42.1
2θ 30.72, I 64.8
2θ 33.52, I 57.4
2θ 34.34, I 100.0
2θ 42.10, I 67.6
2θ 46.38, I 26.6
2θ 49.26, I 25.4
2θ 54.85, I 28.3
2θ 61.05, I 22.7
2θ 66.76, I 20.5
2θ 71.96, I 23.5


Record 4
Al8Ir2Pt: computed powder diffraction line list (Cu Kα (weighted mean of Kα1 and Kα2)), based on a GGA-PBE-relaxed structure.
Neutral-atom scattering factors, no anomalous dispersion.

```
data_Al8Ir2Pt
_chemical_formula_sum 'Al8 Ir2 Pt1'
_cell_length_a 4.151
_cell_length_b 6.475
_cell_length_c 7.372
_cell_angle_alpha 116.03
_cell_angle_beta 102.87
_cell_angle_gamma 90.01
_symmetry_space_group_name_H-M 'P 1'
_symmetry_Int_Tables_number 1
loop_
_symmetry_equiv_pos_as_xyz
'x,y,z'
loop_
_atom_site_label
_atom_site_type_symbol
_atom_site_fract_x
_atom_site_fract_y
_atom_site_fract_z
Al1 Al 0.000 0.000 0.000
Al2 Al 0.048 0.504 0.111
Al3 Al 0.235 0.372 0.471
Al4 Al 0.334 0.870 0.685
Al5 Al 0.432 0.586 0.899
Al6 Al 0.619 0.078 0.260
Al7 Al 0.667 0.686 0.371
Al8 Al 0.836 0.190 0.686
Ir1 Ir 0.158 0.939 0.364
Ir2 Ir 0.509 0.261 0.007
Pt1 Pt 0.834 0.595 0.685
```

Peak list (12 most intense, 2θ from 15° to 90°, in order of rising 2θ)
2θ 24.94, I 100.0
2θ 25.53, I 79.7
2θ 27.55, I 29.2
2θ 28.98, I 30.4
2θ 31.05, I 25.3
2θ 40.41, I 47.3
2θ 41.98, I 41.6
2θ 42.25, I 17.2
2θ 43.72, I 24.2
2θ 47.16, I 21.2
2θ 47.50, I 25.7
2θ 48.65, I 19.9


Record 5
YAl4IrPt2: computed powder diffraction line list (Cu Kα (weighted mean of Kα1 and Kα2)), based on a GGA-PBE-relaxed structure.
Neutral-atom scattering factors, no anomalous dispersion.

```
data_YAl4IrPt2
_chemical_formula_sum 'Y1 Al4 Ir1 Pt2'
_cell_length_a 9.083
_cell_length_b 9.083
_cell_length_c 9.083
_cell_angle_alpha 27.12
_cell_angle_beta 27.12
_cell_angle_gamma 27.12
_symmetry_space_group_name_H-M 'P 1'
_symmetry_Int_Tables_number 1
loop_
_symmetry_equiv_pos_as_xyz
'x,y,z'
loop_
_atom_site_label
_atom_site_type_symbol
_atom_site_fract_x
_atom_site_fract_y
_atom_site_fract_z
Y1 Y 0.000 0.000 0.000
Al1 Al 0.133 0.133 0.133
Al2 Al 0.402 0.402 0.402
Al3 Al 0.598 0.598 0.598
Al4 Al 0.867 0.867 0.867
Ir1 Ir 0.500 0.500 0.500
Pt1 Pt 0.236 0.236 0.236
Pt2 Pt 0.764 0.764 0.764
```

Peak list (12 most intense, 2θ from 15° to 90°, in order of rising 2θ)
2θ 27.75, I 100.0
2θ 34.11, I 12.6
2θ 36.67, I 65.5
2θ 42.45, I 65.0
2θ 45.28, I 24.5
2θ 51.47, I 18.8
2θ 57.32, I 18.1
2θ 60.72, I 15.1
2θ 68.85, I 15.8
2θ 73.87, I 17.1
2θ 77.66, I 11.1
2θ 79.68, I 11.9


Record 6
Pu2Al12Ir7: computed powder diffraction line list (Cu Kα (weighted mean of Kα1 and Kα2)), based on a GGA-PBE-relaxed structure.
Neutral-atom scattering factors, no anomalous dispersion.

```
data_Pu2Al12Ir7
_chemical_formula_sum 'Pu2 Al12 Ir7'
_cell_length_a 9.892
_cell_length_b 9.892
_cell_length_c 4.090
_cell_angle_alpha 90.00
_cell_angle_beta 90.00
_cell_angle_gamma 120.00
_symmetry_space_group_name_H-M 'P 1'
_symmetry_Int_Tables_number 1
loop_
_symmetry_equiv_pos_as_xyz
'x,y,z'
loop_
_atom_site_label
_atom_site_type_symbol
_atom_site_fract_x
_atom_site_fract_y
_atom_site_fract_z
Pu1 Pu 0.000 0.000 0.000
Pu2 Pu 0.333 0.667 0.500
Al1 Al 0.016 0.288 0.500
Al2 Al 0.158 0.765 0.000
Al3 Al 0.235 0.394 0.000
Al4 Al 0.272 0.984 0.500
Al5 Al 0.377 0.204 0.000
Al6 Al 0.543 0.405 0.500
Al7 Al 0.595 0.137 0.500
Al8 Al 0.606 0.842 0.000
Al9 Al 0.712 0.728 0.500
Al10 Al 0.796 0.173 0.000
Al11 Al 0.827 0.623 0.000
Al12 Al 0.863 0.457 0.500
Ir1 Ir 0.022 0.464 0.000
Ir2 Ir 0.245 0.238 0.500
Ir3 Ir 0.442 0.978 0.000
Ir4 Ir 0.536 0.558 0.000
Ir5 Ir 0.667 0.333 0.000
Ir6 Ir 0.762 0.007 0.500
Ir7 Ir 0.993 0.755 0.500
```

Peak list (12 most intense, 2θ from 15° to 90°, in order of rising 2θ)
2θ 27.55, I 52.6
2θ 28.31, I 33.8
2θ 30.21, I 100.0
2θ 31.32, I 24.6
2θ 35.36, I 66.9
2θ 36.33, I 28.0
2θ 42.19, I 18.2
2θ 42.73, I 35.4
2θ 44.08, I 30.0
2θ 44.29, I 30.1
2θ 48.71, I 22.4
2θ 51.59, I 27.9